Record 1
This entry pairs a crystal structure of NaMn8O16 with its simulated powder XRD pattern. Radiation: Cu Kα. Structure: a cell relaxed with GGA+U.
No peak broadening, texture or thermal motion is included.

Top 8 peaks for 10° ≤ 2θ ≤ 90°, sorted by position:
2θ (°)  Rel. int.
18.33  100.0
35.53  43.1
37.16  10.1
43.18  50.0
47.27  7.6
57.10  20.6
62.71  29.7
65.94  13.2

Crystal structure
```
NaMn8O16
1.0
5.9243 0.0000 0.0000
0.0000 11.8583 0.0000
0.0000 0.0000 8.3800
Na Mn O
2 16 32
Cartesian
1.4811 2.9646 1.0537 Na
4.4432 8.8937 7.3262 Na
0.0000 0.0000 0.0000 Mn
0.0000 5.9291 0.0000 Mn
0.0160 8.8937 4.1488 Mn
1.4811 1.4679 6.2445 Mn
1.4811 4.4612 6.2445 Mn
1.4811 7.3832 6.2455 Mn
1.4811 10.4043 6.2455 Mn
2.9461 8.8937 4.1488 Mn
2.9621 0.0000 0.0000 Mn
2.9621 5.9291 0.0000 Mn
2.9782 2.9646 4.2312 Mn
4.4432 1.4540 2.1344 Mn
4.4432 4.4751 2.1344 Mn
4.4432 7.3971 2.1354 Mn
4.4432 10.3904 2.1354 Mn
5.9082 2.9646 4.2312 Mn
0.1863 5.9445 6.4022 O
0.1863 11.8429 6.4022 O
0.2034 2.9646 6.1601 O
0.2280 8.8937 6.0849 O
1.4811 1.2534 8.1963 O
1.4811 1.6853 4.3186 O
1.4811 4.2439 4.3186 O
1.4811 4.6757 8.1963 O
1.4811 7.2300 8.2130 O
1.4811 7.6017 4.2794 O
1.4811 10.1858 4.2794 O
1.4811 10.5574 8.2130 O
2.7341 8.8937 6.0849 O
2.7588 2.9646 6.1601 O
2.7759 5.9445 6.4022 O
2.7759 11.8429 6.4022 O
3.1484 0.0154 1.9778 O
3.1484 5.9138 1.9778 O
3.1655 8.8937 2.2198 O
3.1902 2.9646 2.2951 O
4.4432 1.3009 0.1670 O
4.4432 1.6725 4.1006 O
4.4432 4.2566 4.1006 O
4.4432 4.6283 0.1670 O
4.4432 7.1826 0.1836 O
4.4432 7.6144 4.0614 O
4.4432 10.1730 4.0614 O
4.4432 10.6049 0.1836 O
5.6963 2.9646 2.2951 O
5.7209 8.8937 2.2198 O
5.7380 0.0154 1.9778 O
5.7380 5.9138 1.9778 O
```

---

Record 2
This entry pairs a crystal structure of NaMn2O4 with its simulated powder XRD pattern. Radiation: Cu Kα. Structure: a cell relaxed with GGA+U.
No peak broadening, texture or thermal motion is included.

Top 8 peaks for 10° ≤ 2θ ≤ 90°, sorted by position:
2θ (°)  Rel. int.
15.62  100.0
31.53  10.6
35.57  10.0
39.37  22.1
41.48  38.2
52.33  10.4
55.73  10.5
61.22  10.0

Crystal structure
```
NaMn2O4
1.0
6.0053 -2.9196 0.0000
6.0053 2.9196 0.0000
-5.2217 0.0000 15.0659
Na Mn O
6 12 24
Cartesian
3.3945 2.2209 7.5330 Na
0.8109 0.7390 14.9854 Na
2.4705 0.7157 10.4635 Na
3.4218 -0.7390 7.4524 Na
5.0813 -0.7157 2.9305 Na
6.0053 -2.2209 0.0000 Na
0.2900 0.7331 7.6149 Mn
2.1504 0.7415 2.5735 Mn
-1.3460 0.7336 12.6381 Mn
2.9009 -0.7331 0.0819 Mn
1.2649 -0.7336 5.1052 Mn
-0.4605 -0.7415 10.1065 Mn
6.3272 0.7331 7.6208 Mn
8.1553 0.7160 2.5701 Mn
4.7445 0.7199 12.6542 Mn
8.9381 -0.7331 0.0878 Mn
5.5445 -0.7160 10.1030 Mn
7.3554 -0.7199 5.1212 Mn
-1.1900 0.7354 8.9360 O
-3.0353 0.7082 14.1234 O
0.7407 0.7514 3.9410 O
1.8455 0.7261 6.4009 O
3.6064 0.7025 1.2294 O
0.2884 0.7277 11.0791 O
-0.4245 -0.7082 6.5904 O
1.4209 -0.7354 1.4030 O
-1.8702 -0.7514 11.4739 O
0.9955 -0.7025 8.7624 O
-0.7654 -0.7261 13.9339 O
2.8992 -0.7277 3.5461 O
4.6551 0.7323 9.1125 O
2.9849 0.7452 14.1111 O
6.7368 0.7166 3.8963 O
9.6168 0.7517 1.2268 O
8.0031 0.7458 6.2173 O
6.3180 0.7311 11.0640 O
7.2660 -0.7323 1.5796 O
5.5958 -0.7452 6.5782 O
4.1259 -0.7166 11.4292 O
7.0059 -0.7517 8.7598 O
8.9288 -0.7311 3.5310 O
5.3923 -0.7458 13.7503 O
```

---

Record 3
This entry pairs a crystal structure of Na11Mn13O32 with its simulated powder XRD pattern. Radiation: Cu Kα. Structure: a cell relaxed with GGA+U.
No peak broadening, texture or thermal motion is included.

Top 8 peaks for 10° ≤ 2θ ≤ 90°, sorted by position:
2θ (°)  Rel. int.
17.01  100.0
17.58  57.5
18.03  60.1
33.79  47.6
34.68  52.9
34.82  42.7
41.32  78.8
61.16  39.1

Crystal structure
```
Na11Mn13O32
1.0
5.2723 -2.9973 0.0000
5.2723 2.9973 0.0000
-4.2133 0.0000 20.8535
Na Mn O
11 13 32
Cartesian
0.0000 0.0000 0.0000 Na
-2.1220 0.0000 12.4276 Na
1.5810 0.0000 3.0813 Na
1.5706 0.0000 7.1091 Na
1.3203 0.0000 13.1359 Na
1.1884 0.0000 18.9758 Na
5.1430 0.0000 1.8777 Na
5.0110 0.0000 7.7177 Na
4.7608 0.0000 13.7444 Na
4.7503 0.0000 17.7722 Na
8.4533 0.0000 8.4259 Na
2.6362 1.4986 0.0000 Mn
0.5295 1.4986 10.4268 Mn
-2.2520 0.0000 18.3446 Mn
4.2105 1.4836 5.0136 Mn
-0.4906 0.0000 15.8228 Mn
2.1208 1.4836 15.8400 Mn
2.6362 -1.4986 0.0000 Mn
0.5295 -1.4986 10.4268 Mn
3.1657 0.0000 10.4268 Mn
4.2105 -1.4836 5.0136 Mn
6.8219 0.0000 5.0307 Mn
2.1208 -1.4836 15.8400 Mn
8.5834 0.0000 2.5090 Mn
-0.4917 0.0000 3.8386 O
2.5709 1.7403 3.9012 O
-2.2709 0.0000 14.8266 O
0.4711 1.3693 14.8844 O
3.9703 1.6793 1.3792 O
1.9343 0.0000 0.9417 O
-0.1628 0.0000 11.4055 O
2.1750 1.3209 11.4137 O
-0.8118 0.0000 19.7582 O
1.4118 0.0000 9.3854 O
2.3610 1.6793 19.4744 O
4.1563 1.3209 9.4398 O
3.7604 1.7403 16.9524 O
1.2367 0.0000 16.8135 O
5.8602 1.3693 5.9691 O
3.4885 0.0000 5.9634 O
2.8428 0.0000 14.8902 O
0.4711 -1.3693 14.8844 O
5.0947 0.0000 4.0401 O
2.5709 -1.7403 3.9012 O
2.1750 -1.3209 11.4137 O
3.9703 -1.6793 1.3792 O
4.9195 0.0000 11.4681 O
7.1431 0.0000 1.0954 O
4.1563 -1.3209 9.4398 O
6.4941 0.0000 9.4480 O
4.3970 0.0000 19.9119 O
2.3610 -1.6793 19.4744 O
5.8602 -1.3693 5.9691 O
8.6023 0.0000 6.0270 O
3.7604 -1.7403 16.9524 O
6.8230 0.0000 17.0149 O
```

---

Record 4
This entry pairs a crystal structure of Na7Mn16O32 with its simulated powder XRD pattern. Radiation: Cu Kα. Structure: a cell relaxed with GGA+U.
No peak broadening, texture or thermal motion is included.

Top 8 peaks for 10° ≤ 2θ ≤ 90°, sorted by position:
2θ (°)  Rel. int.
18.19  100.0
35.19  54.2
35.34  27.4
42.73  36.7
42.99  18.2
56.51  24.4
62.03  15.8
62.23  31.4

Crystal structure
```
Na7Mn16O32
1.0
-4.2318 4.2318 8.4156
4.2318 -4.2318 8.4156
4.2318 4.2318 -8.4156
Na Mn O
7 16 32
Cartesian
0.0000 0.0000 0.0000 Na
2.1481 2.1481 -2.0733 Na
4.2318 0.0000 4.2078 Na
2.0837 -2.0837 10.4889 Na
2.0837 2.0837 6.3423 Na
0.0000 4.2318 4.2078 Na
-2.0837 2.0837 10.4889 Na
3.1780 3.1780 -5.2659 Mn
5.2778 1.0871 -1.0407 Mn
1.0575 -1.0575 5.2844 Mn
3.1857 1.0871 1.0407 Mn
1.0537 1.0537 3.1497 Mn
3.1447 -1.0461 7.3750 Mn
1.0871 3.1857 1.0407 Mn
-1.0575 1.0575 5.2844 Mn
3.1743 3.1743 3.1312 Mn
1.0871 5.2778 -1.0407 Mn
3.1447 1.0461 9.4563 Mn
1.0537 -1.0537 13.6816 Mn
-1.0461 3.1447 7.3750 Mn
1.0575 1.0575 11.5468 Mn
1.0461 3.1447 9.4563 Mn
-1.0537 1.0537 13.6816 Mn
5.4584 -1.2364 2.9915 O
3.3432 0.8819 -0.8847 O
2.9919 -2.9919 7.2151 O
0.8973 -0.8973 3.3063 O
5.1203 0.8819 0.8847 O
2.9954 -1.2266 5.4242 O
3.3441 3.3441 -3.3323 O
1.2398 1.2398 1.2005 O
1.1989 -1.1989 7.2253 O
-0.8973 0.8973 3.3063 O
3.0051 1.2364 2.9915 O
0.8819 3.3432 -0.8847 O
0.8876 0.8876 5.0833 O
3.0329 3.0329 1.1903 O
3.3499 -0.8886 9.3003 O
5.4682 1.2266 5.4242 O
1.2364 3.0051 2.9915 O
3.3499 0.8886 7.5310 O
-1.1989 1.1989 7.2253 O
0.8876 -0.8876 11.7479 O
0.8819 5.1203 0.8847 O
-1.2266 2.9954 5.4242 O
3.3345 3.3345 5.1093 O
1.1989 1.1989 9.6060 O
-2.9919 2.9919 7.2151 O
-0.8876 0.8876 11.7479 O
-1.2364 5.4584 2.9915 O
0.8886 3.3499 7.5310 O
0.8973 0.8973 13.5249 O
2.9919 2.9919 9.6161 O
-0.8886 3.3499 9.3003 O
1.2266 5.4682 5.4242 O
```

---

Record 5
This entry pairs a crystal structure of NaMn8O16 with its simulated powder XRD pattern. Radiation: Cu Kα. Structure: a cell relaxed with GGA+U.
No peak broadening, texture or thermal motion is included.

Top 8 peaks for 10° ≤ 2θ ≤ 90°, sorted by position:
2θ (°)  Rel. int.
12.52  81.6
12.63  80.8
17.75  70.4
17.90  77.9
28.36  100.0
36.46  91.7
36.57  59.0
58.94  41.5

Crystal structure
```
NaMn8O16
1.0
9.9129 0.0000 0.0000
0.0000 5.9085 0.0000
-0.0865 0.0000 9.9948
Na Mn O
2 16 32
Cartesian
0.0000 0.0000 0.0000 Na
4.9132 1.4854 4.9974 Na
1.4706 1.4782 3.3422 Mn
1.4805 4.4240 3.3448 Mn
1.6107 2.9545 6.4948 Mn
1.6081 5.9030 6.4842 Mn
3.2220 4.4352 8.4957 Mn
3.2247 1.4906 8.5051 Mn
3.4345 2.9642 1.6585 Mn
3.4467 0.0024 1.6564 Mn
6.3796 0.0024 8.3384 Mn
6.3919 2.9642 8.3363 Mn
6.6016 1.4906 1.4897 Mn
6.6044 4.4352 1.4991 Mn
8.2156 2.9545 3.5000 Mn
8.2183 5.9030 3.5106 Mn
8.3458 4.4240 6.6500 Mn
8.3557 1.4782 6.6526 Mn
0.3630 4.4253 6.6050 O
0.3664 1.4730 6.6129 O
1.4964 0.0080 2.0276 O
1.5029 2.9560 2.0570 O
1.6616 5.9071 4.5681 O
1.6661 2.9444 4.5735 O
1.9076 0.0017 8.4359 O
1.9339 2.9566 8.4256 O
2.8986 4.4332 6.5706 O
2.9305 1.4840 6.5599 O
3.2617 1.4857 0.4270 O
3.2560 4.4451 0.4237 O
3.4280 1.4777 2.9637 O
3.4278 4.4358 2.9329 O
4.4576 0.0088 8.3796 O
4.4618 2.9636 8.3847 O
5.3688 0.0088 1.6152 O
5.3645 2.9636 1.6101 O
6.3983 1.4777 7.0311 O
6.3985 4.4358 7.0619 O
6.5646 1.4857 9.5678 O
6.5704 4.4451 9.5711 O
6.8958 1.4840 3.4349 O
6.9277 4.4332 3.4242 O
7.8924 2.9566 1.5692 O
7.9187 0.0017 1.5589 O
8.1647 5.9071 5.4267 O
8.1602 2.9444 5.4213 O
8.3299 0.0080 7.9672 O
8.3234 2.9560 7.9378 O
9.4599 1.4730 3.3819 O
9.4634 4.4253 3.3898 O
```